1.
# ScTlBr
Theoretical X-ray powder pattern, Cu Kα (weighted mean of Kα1 and Kα2). Input: a cell relaxed with GGA-PBE.
Neutral-atom scattering factors, no anomalous dispersion.

Cell and atoms:
```
ScTlBr
1.0
1.758 -7.465 0.000
1.758 7.465 0.000
0.000 0.000 6.373
Sc Tl Br
2 2 2
Cartesian
1.758 5.602 3.186
1.758 -5.602 0.000
1.758 0.507 4.333
1.758 -0.507 1.147
1.758 3.316 1.501
1.758 -3.316 4.687
```

Principal peaks in the range 10° ≤ 2θ ≤ 80°, in order of rising 2θ:
two_theta, I (rel.)
11.85, 78
26.04, 79
27.70, 88
28.00, 58
34.25, 100
38.61, 95

2.
# ScTl2Br
Theoretical X-ray powder pattern, Cu Kα (weighted mean of Kα1 and Kα2). Input: a cell relaxed with GGA-PBE.
Neutral-atom scattering factors, no anomalous dispersion.

Cell and atoms:
```
ScTl2Br
1.0
5.457 0.000 0.000
0.000 3.443 0.000
-0.010 0.000 5.709
Sc Tl Br
1 2 1
Cartesian
0.000 0.000 0.000
-0.005 1.721 2.855
2.723 0.000 2.855
2.728 1.721 0.000
```

Principal peaks in the range 10° ≤ 2θ ≤ 80°, in order of rising 2θ:
two_theta, I (rel.)
15.52, 44
31.34, 32
32.83, 29
34.58, 100
46.02, 22
57.89, 23

3.
# ScV2Br6
Theoretical X-ray powder pattern, Cu Kα (weighted mean of Kα1 and Kα2). Input: a cell relaxed with GGA-PBE.
Neutral-atom scattering factors, no anomalous dispersion.

Cell and atoms:
```
ScV2Br6
1.0
7.030 -5.787 0.000
7.030 5.787 0.000
-3.221 0.000 5.952
Sc V Br
2 4 12
Cartesian
4.614 4.794 4.464
6.225 -4.794 1.488
1.879 0.950 2.992
3.489 -0.950 0.016
7.350 0.950 5.936
8.961 -0.950 2.960
1.654 1.028 0.217
3.702 2.894 2.744
0.044 -1.028 3.193
2.066 0.820 5.533
8.748 2.894 0.232
3.677 -0.820 2.557
7.163 0.820 3.396
2.091 -2.894 5.720
8.773 -0.820 0.420
10.795 1.028 2.759
7.138 -2.894 3.208
9.185 -1.028 5.735
```

Principal peaks in the range 10° ≤ 2θ ≤ 80°, in order of rising 2θ:
two_theta, I (rel.)
30.03, 30
30.19, 22
30.34, 100
39.60, 20
39.73, 29
46.64, 32

4.
# Sc2WBr
Theoretical X-ray powder pattern, Cu Kα (weighted mean of Kα1 and Kα2). Input: a cell relaxed with GGA-PBE.
Neutral-atom scattering factors, no anomalous dispersion.

Cell and atoms:
```
Sc2WBr
1.0
1.868 -2.593 0.000
1.868 2.593 0.000
0.000 0.000 8.493
Sc W Br
2 1 1
Cartesian
0.000 0.000 1.977
0.000 0.000 6.515
1.868 0.000 0.000
1.868 0.000 4.246
```

Principal peaks in the range 10° ≤ 2θ ≤ 80°, in order of rising 2θ:
two_theta, I (rel.)
10.42, 44
20.92, 25
29.46, 21
34.59, 29
36.41, 100
63.18, 19

5.
# SeBr4
Theoretical X-ray powder pattern, Cu Kα (weighted mean of Kα1 and Kα2). Input: a cell relaxed with GGA-PBE.
Neutral-atom scattering factors, no anomalous dispersion.

Cell and atoms:
```
SeBr4
1.0
6.578 -4.250 0.000
6.578 4.250 0.000
-0.130 0.000 6.740
Se Br
2 8
Cartesian
6.481 3.059 5.055
6.545 -3.059 1.685
1.415 0.934 6.341
5.015 1.441 4.040
1.480 -0.934 2.971
7.947 1.441 6.071
5.079 -1.441 0.670
11.546 0.934 3.770
8.011 -1.441 2.700
11.611 -0.934 0.400
```

Principal peaks in the range 10° ≤ 2θ ≤ 80°, in order of rising 2θ:
two_theta, I (rel.)
12.40, 49
13.46, 43
28.17, 40
28.42, 100
29.55, 46
37.25, 36

6.
# SeBr
Theoretical X-ray powder pattern, Cu Kα (weighted mean of Kα1 and Kα2). Input: a cell relaxed with GGA-PBE.
Neutral-atom scattering factors, no anomalous dispersion.

Cell and atoms:
```
SeBr
1.0
7.673 0.000 0.000
0.000 15.911 0.000
-0.256 0.000 5.213
Se Br
8 8
Cartesian
0.916 1.949 2.037
0.788 6.006 4.644
2.037 0.610 3.453
2.165 7.346 0.846
5.253 8.565 4.367
5.381 15.301 1.761
6.630 9.904 0.570
6.502 13.962 3.176
0.935 10.164 4.816
1.063 13.702 2.209
3.124 2.101 5.077
3.252 5.854 2.471
4.166 10.056 2.743
4.293 13.810 0.136
6.354 2.209 3.004
6.482 5.746 0.398
```

Principal peaks in the range 10° ≤ 2θ ≤ 80°, in order of rising 2θ:
two_theta, I (rel.)
17.90, 31
20.36, 28
20.89, 51
22.35, 57
27.02, 100
28.78, 61

7.
# SeBr
Theoretical X-ray powder pattern, Cu Kα (weighted mean of Kα1 and Kα2). Input: a cell relaxed with GGA-PBE.
Neutral-atom scattering factors, no anomalous dispersion.

Cell and atoms:
```
SeBr
1.0
15.315 0.000 0.000
0.000 3.577 2.650
0.000 -3.577 2.650
Se Br
4 4
Cartesian
0.754 -2.731 2.650
6.904 0.846 2.650
8.412 -0.846 2.650
14.561 2.731 2.650
2.492 0.362 3.689
5.166 0.362 1.040
10.150 -0.362 1.040
12.823 -0.362 3.689
```

Principal peaks in the range 10° ≤ 2θ ≤ 80°, in order of rising 2θ:
two_theta, I (rel.)
21.66, 64
25.58, 28
27.27, 100
31.42, 28
35.86, 25
52.34, 26

8.
# Se8Br
Theoretical X-ray powder pattern, Cu Kα (weighted mean of Kα1 and Kα2). Input: a cell relaxed with GGA-PBE.
Neutral-atom scattering factors, no anomalous dispersion.

Cell and atoms:
```
Se8Br
1.0
-4.627 4.627 2.577
4.627 -4.627 2.577
4.627 4.627 -2.577
Se Br
8 1
Cartesian
3.338 0.000 0.000
5.917 0.000 0.000
2.613 2.613 0.000
2.015 -2.015 2.577
0.000 3.338 0.000
0.000 5.917 0.000
-2.015 2.015 2.577
2.015 2.015 2.577
0.000 0.000 0.000
```

Principal peaks in the range 10° ≤ 2θ ≤ 80°, in order of rising 2θ:
two_theta, I (rel.)
13.53, 18
27.25, 24
33.86, 100
34.81, 38
41.39, 19
56.44, 18

9.
# Tl5SiSe4Br2
Theoretical X-ray powder pattern, Cu Kα (weighted mean of Kα1 and Kα2). Input: a cell relaxed with GGA-PBE.
Neutral-atom scattering factors, no anomalous dispersion.

Cell and atoms:
```
Tl5SiSe4Br2
1.0
9.376 0.000 0.000
0.000 4.992 4.350
0.000 -4.992 4.350
Tl Si Se Br
5 1 4 2
Cartesian
0.000 0.000 0.000
2.505 -1.840 4.379
2.505 1.840 4.379
6.871 -1.840 4.379
6.871 1.840 4.379
4.688 0.000 7.974
2.945 0.000 0.812
4.688 -1.915 6.757
4.688 1.915 6.757
6.431 0.000 0.812
0.000 -2.292 6.597
0.000 2.292 6.597
```

Principal peaks in the range 10° ≤ 2θ ≤ 80°, in order of rising 2θ:
two_theta, I (rel.)
20.41, 51
23.32, 60
27.98, 76
28.72, 99
33.34, 100
34.62, 39

10.
# Sm7SeBr12
Theoretical X-ray powder pattern, Cu Kα (weighted mean of Kα1 and Kα2). Input: a cell relaxed with GGA-PBE.
Neutral-atom scattering factors, no anomalous dispersion.

Cell and atoms:
```
Sm7SeBr12
1.0
7.523 4.344 3.318
-7.523 4.344 3.318
0.000 -8.687 3.318
Sm Se Br
7 1 12
Cartesian
0.000 0.000 0.000
-2.149 -0.591 3.380
1.586 -1.566 3.380
0.563 2.157 3.380
-0.563 -2.157 6.575
-1.586 1.566 6.575
2.149 0.591 6.575
0.000 0.000 4.978
-0.628 -2.405 1.569
-1.769 1.747 1.569
-2.921 -2.974 4.940
-4.036 1.043 5.015
2.397 0.659 1.569
1.115 -4.016 5.015
-1.115 4.016 4.940
-2.397 -0.659 8.387
4.036 -1.043 4.940
2.921 2.974 5.015
1.769 -1.747 8.387
0.628 2.405 8.387
```

Principal peaks in the range 10° ≤ 2θ ≤ 80°, in order of rising 2θ:
two_theta, I (rel.)
11.76, 34
30.57, 100
43.36, 36
44.18, 36
53.98, 18
71.64, 15